(1)
For CoBi3O6, DFT lattice parameters and positions (GGA+U) gives the simulated powder X-ray diffraction pattern in this record (Cu Kα X-rays).

Top 12 peaks for 5° ≤ 2θ ≤ 70°, sorted by position:
2θ (°)  I_rel
20.0  19
29.1  100
29.3  19
29.5  33
30.6  17
32.0  20
44.0  22
44.9  20
48.5  15
55.3  16
56.6  15
59.4  12

Structural model:
```
data_CoBi3O6
_space_group_name_H-M_alt 'C m c 21'
_space_group_IT_number 36
_cell_length_a 9.457
_cell_length_b 11.668
_cell_length_c 5.586
_cell_angle_alpha 90.00
_cell_angle_beta 90.00
_cell_angle_gamma 90.00
loop_
_space_group_symop_operation_xyz
'x,y,z'
'-x,-y,z+1/2'
'-x,y,z'
'x,-y,z+1/2'
'x+1/2,y+1/2,z'
'-x+1/2,-y+1/2,z+1/2'
'-x+1/2,y+1/2,z'
'x+1/2,-y+1/2,z+1/2'
loop_
_atom_site_label
_atom_site_fract_x
_atom_site_fract_y
_atom_site_fract_z
_atom_site_occupancy
Co1 0.000 0.187 0.000 1
Bi1 0.000 0.398 0.439 1
Bi2 0.196 0.116 0.458 1
O1 0.000 0.055 0.175 1
O2 0.000 0.220 0.683 1
O3 0.154 0.477 0.708 1
O4 0.160 0.258 0.169 1
```

(2)
For Co3BiO8, DFT lattice parameters and positions (GGA+U) gives the simulated powder X-ray diffraction pattern in this record (Cu Kα X-rays).

Top 12 peaks for 5° ≤ 2θ ≤ 70°, sorted by position:
2θ (°)  I_rel
18.4  100
23.8  21
23.9  10
26.1  20
35.5  15
35.7  30
37.3  27
38.9  10
43.1  14
43.4  27
47.4  9
62.9  14

Structural model:
```
data_Co3BiO8
_space_group_name_H-M_alt 'C 2 2 21'
_space_group_IT_number 20
_cell_length_a 11.780
_cell_length_b 11.787
_cell_length_c 8.386
_cell_angle_alpha 90.00
_cell_angle_beta 90.00
_cell_angle_gamma 90.00
loop_
_space_group_symop_operation_xyz
'x,y,z'
'-x,-y,z+1/2'
'x,-y,-z'
'-x,y,-z+1/2'
'x+1/2,y+1/2,z'
'-x+1/2,-y+1/2,z+1/2'
'x+1/2,-y+1/2,-z'
'-x+1/2,y+1/2,-z+1/2'
loop_
_atom_site_label
_atom_site_fract_x
_atom_site_fract_y
_atom_site_fract_z
_atom_site_occupancy
Co1 0.000 0.148 0.250 1
Co2 0.137 0.261 0.022 1
Co3 0.149 0.500 0.000 1
Co4 0.238 0.136 0.273 1
Bi1 0.000 0.374 0.750 1
Bi2 0.123 0.000 0.000 1
O1 0.018 0.154 0.024 1
O2 0.036 0.387 0.010 1
O3 0.112 0.033 0.262 1
O4 0.125 0.245 0.249 1
O5 0.144 0.257 0.797 1
O6 0.156 0.484 0.773 1
O7 0.244 0.142 0.048 1
O8 0.249 0.377 0.995 1
```

(3)
For Co2BiPO8, DFT lattice parameters and positions (GGA+U) gives the simulated powder X-ray diffraction pattern in this record (Cu Kα X-rays).

Top 12 peaks for 5° ≤ 2θ ≤ 70°, sorted by position:
2θ (°)  I_rel
20.6  64
25.1  100
35.4  68
36.1  60
39.0  26
43.2  16
44.5  30
46.6  22
51.5  28
57.6  20
58.6  25
64.5  28

Structural model:
```
data_Co2BiPO8
_space_group_name_H-M_alt 'P -3'
_space_group_IT_number 147
_cell_length_a 4.9742
_cell_length_b 4.9742
_cell_length_c 6.2774
_cell_angle_alpha 90.00
_cell_angle_beta 90.00
_cell_angle_gamma 120.00
loop_
_space_group_symop_operation_xyz
'x,y,z'
'-x,-y,-z'
'-y,x-y,z'
'y,-x+y,-z'
'-x+y,-x,z'
'x-y,x,-z'
loop_
_atom_site_label
_atom_site_fract_x
_atom_site_fract_y
_atom_site_fract_z
_atom_site_occupancy
Co1 0.3333 0.6667 0.1742 1
Bi1 0.0000 0.0000 0.5000 1
P1 0.0000 0.0000 0.0000 1
O1 0.0122 0.7298 0.8381 1
O2 0.3333 0.6667 0.4474 1
```

(4)
For PmCoBi2O6, DFT lattice parameters and positions (GGA+U) gives the simulated powder X-ray diffraction pattern in this record (Cu Kα X-rays).

Top 12 peaks for 5° ≤ 2θ ≤ 70°, sorted by position:
2θ (°)  I_rel
20.8  21
20.9  20
29.6  100
29.8  53
30.0  49
30.5  49
30.7  50
42.3  22
42.6  22
44.0  20
53.2  25
53.5  35

Structural model:
```
data_PmCoBi2O6
_space_group_name_H-M_alt 'P 1'
_space_group_IT_number 1
_cell_length_a 5.837
_cell_length_b 5.863
_cell_length_c 5.963
_cell_angle_alpha 91.74
_cell_angle_beta 118.28
_cell_angle_gamma 118.32
loop_
_space_group_symop_operation_xyz
'x,y,z'
loop_
_atom_site_label
_atom_site_fract_x
_atom_site_fract_y
_atom_site_fract_z
_atom_site_occupancy
Pm1 0.000 0.000 0.000 1
Co1 0.027 0.516 0.532 1
Bi1 0.434 0.712 0.165 1
Bi2 0.449 0.231 0.660 1
O1 0.166 0.797 0.336 1
O2 0.178 0.848 0.809 1
O3 0.506 0.642 0.822 1
O4 0.549 0.379 0.343 1
O5 0.973 0.340 0.835 1
O6 0.982 0.210 0.355 1
```

(5)
For CoBi6S2O16, DFT lattice parameters and positions (GGA+U) gives the simulated powder X-ray diffraction pattern in this record (Cu Kα X-rays).

Top 12 peaks for 5° ≤ 2θ ≤ 70°, sorted by position:
2θ (°)  I_rel
11.3  60
22.9  25
27.7  100
28.3  100
31.3  29
31.5  29
34.4  24
36.0  17
45.0  27
47.2  22
53.5  21
57.3  19

Structural model:
```
data_CoBi6S2O16
_space_group_name_H-M_alt 'C 1 2 1'
_space_group_IT_number 5
_cell_length_a 15.646
_cell_length_b 5.711
_cell_length_c 11.383
_cell_angle_alpha 90.00
_cell_angle_beta 131.60
_cell_angle_gamma 90.00
loop_
_space_group_symop_operation_xyz
'x,y,z'
'-x,y,-z'
'x+1/2,y+1/2,z'
'-x+1/2,y+1/2,-z'
loop_
_atom_site_label
_atom_site_fract_x
_atom_site_fract_y
_atom_site_fract_z
_atom_site_occupancy
Co1 0.000 0.000 0.000 1
Bi1 0.021 0.974 0.692 1
Bi2 0.154 0.477 0.649 1
Bi3 0.160 0.553 0.992 1
S1 0.156 0.412 0.289 1
O1 0.000 0.241 0.500 1
O2 0.000 0.722 0.500 1
O3 0.070 0.426 0.307 1
O4 0.081 0.893 0.936 1
O5 0.128 0.203 0.185 1
O6 0.148 0.628 0.206 1
O7 0.165 0.710 0.815 1
O8 0.171 0.217 0.822 1
O9 0.227 0.879 0.560 1
```

(6)
For CoBiSe2O8, DFT lattice parameters and positions (GGA+U) gives the simulated powder X-ray diffraction pattern in this record (Cu Kα X-rays).

Top 12 peaks for 5° ≤ 2θ ≤ 70°, sorted by position:
2θ (°)  I_rel
14.4  14
17.7  85
22.9  95
30.9  100
34.2  97
38.8  16
46.8  45
50.5  28
55.0  19
57.2  49
64.5  17
69.1  17

Structural model:
```
data_CoBiSe2O8
_space_group_name_H-M_alt 'P -3 m 1'
_space_group_IT_number 164
_space_group_name_Hall '-P 3 2"'
_cell_length_a 5.7789
_cell_length_b 5.7789
_cell_length_c 6.1591
_cell_angle_alpha 90.00
_cell_angle_beta 90.00
_cell_angle_gamma 120.00
loop_
_atom_site_label
_atom_site_fract_x
_atom_site_fract_y
_atom_site_fract_z
_atom_site_occupancy
Co1 0.0000 0.0000 0.0000 1
Bi1 0.0000 0.0000 0.5000 1
Se1 0.3333 0.6667 0.7786 1
O1 0.1464 0.2927 0.7984 1
O2 0.3333 0.6667 0.5104 1
```